Na2LiIBr2: simulated powder X-ray diffraction pattern (copper Kα), based on DFT lattice parameters and positions (GGA-PBE).
Intensities are scaled so that the largest is 1000.

Most intense lines, 5 to 70 degrees two-theta, in order of falling intensity:
- 25.29°, I 1000, (3 1 1)
- 24.68°, I 707, (0 2 1)
- 22.25°, I 604, (3 1 0)
- 23.88°, I 570, (0 0 2)
- 38.23°, I 405, (3 3 0)
- 42.87°, I 375, (3 1 3)
- 45.58°, I 329, (3 3 2)
- 32.87°, I 305, (3 1 2)
- 42.49°, I 243, (0 2 3)
- 47.10°, I 218, (6 2 1)
- 39.46°, I 199, (6 0 0)
- 59.37°, I 174, (6 2 3)

Cell and atoms:
a b c (Å): 13.702 8.243 7.452
angles (deg): 90.00 90.00 90.00
Space group Cmc2_1 (No. 36)
Symmetry-distinct sites (fractional):
Na 0.171 0.164 0.000 [8 per cell]
Li 0.000 0.316 0.527 [4 per cell]
I 0.000 0.365 0.152 [4 per cell]
Br 0.156 0.167 0.615 [8 per cell]


NaLi2IBr2: simulated powder X-ray diffraction pattern (copper Kα), based on DFT lattice parameters and positions (GGA-PBE).
Intensities are scaled so that the largest is 1000.

Most intense lines, 5 to 70 degrees two-theta, in order of falling intensity:
- 25.77°, I 1000, (3 1 1)
- 26.33°, I 478, (0 0 2)
- 26.48°, I 378, (0 2 1)
- 22.11°, I 282, (3 1 0)
- 48.35°, I 261, (3 3 2)
- 22.93°, I 256, (0 2 0)
- 47.11°, I 241, (6 0 2)
- 39.79°, I 240, (3 3 0)
- 46.13°, I 210, (3 1 3)
- 34.64°, I 155, (3 1 2)
- 35.19°, I 154, (0 2 2)
- 38.30°, I 145, (6 0 0)

Cell and atoms:
a b c (Å): 14.100 7.757 6.770
angles (deg): 90.00 90.00 90.00
Space group Cmc2_1 (No. 36)
Symmetry-distinct sites (fractional):
Na 0.000 0.197 0.000 [4 per cell]
Li 0.181 0.345 0.428 [8 per cell]
I 0.000 0.207 0.518 [4 per cell]
Br 0.186 0.346 0.052 [8 per cell]


NaLi2I2Br: simulated powder X-ray diffraction pattern (copper Kα), based on DFT lattice parameters and positions (GGA-PBE).
Intensities are scaled so that the largest is 1000.

Most intense lines, 5 to 70 degrees two-theta, in order of falling intensity:
- 25.51°, I 1000, (3 1 1)
- 25.04°, I 635, (0 2 1)
- 23.90°, I 479, (0 0 2)
- 22.48°, I 411, (3 1 0)
- 38.84°, I 301, (3 3 0)
- 43.03°, I 300, (3 1 3)
- 46.12°, I 279, (3 3 2)
- 33.05°, I 234, (3 1 2)
- 42.72°, I 220, (0 2 3)
- 47.58°, I 186, (6 2 1)
- 39.78°, I 141, (6 0 0)
- 59.81°, I 138, (6 2 3)

Cell and atoms:
a b c (Å): 13.594 8.097 7.446
angles (deg): 90.00 90.00 90.00
Space group Cmc2_1 (No. 36)
Symmetry-distinct sites (fractional):
Na 0.000 0.157 0.000 [4 per cell]
Li 0.160 0.327 0.472 [8 per cell]
I 0.178 0.350 0.847 [8 per cell]
Br 0.000 0.184 0.387 [4 per cell]